Computed X-ray powder pattern
Compound: Y6Pb8OF32
Radiation: a wavelength of 1.5418 Å
Structure: a structure optimized by DFT (PBE)
Neutral-atom scattering factors, no anomalous dispersion.

Crystal structure
abc: 11.0445 11.0445 20.3420
angles: 90.00 90.00 120.00
Space group R-3 (No. 148, hexagonal axes)
Symmetry-distinct sites (fractional):
Y  0.0593  0.8051  0.4143 x18
Pb  0.0000  0.0000  0.2626 x6
Pb  0.0344  0.8225  0.9219 x18
O  0.0000  0.0000  0.0000 x3
F  0.0000  0.0000  0.1405 x6
F  0.0371  0.8783  0.6103 x18
F  0.0378  0.7808  0.0426 x18
F  0.0381  0.8054  0.7819 x18
F  0.0458  0.4703  0.1674 x18
F  0.0592  0.8076  0.2977 x18

Main lines, in order of rising 2θ (5 to 70 degrees two-theta):
- d 8.656, I = 20, hkl 1 0 1
- d 3.406, I = 100, hkl 1 2 2
- d 3.390, I = 33, hkl 0 0 6
- d 2.947, I = 49, hkl 3 -1 4
- d 2.557, I = 11, hkl 2 2 3
- d 2.087, I = 35, hkl 4 1 0
- d 2.080, I = 33, hkl 1 2 8
- d 1.778, I = 45, hkl 6 -2 2
- d 1.773, I = 15, hkl 3 -1 10
- d 1.354, I = 11, hkl 0 7 2